No. 1
Li6Mn3Cr2Fe3O16: theoretical PXRD pattern (Cu Kα X-rays), based on a structure optimized by DFT (PBE+U).
Kinematic intensities with the Lorentz-polarization factor, no thermal factor.

Structural model:
a = 5.774 Å, b = 5.804 Å, c = 9.503 Å
α = 90.58°, β = 90.00°, γ = 119.72°
Element x y z (fractional)
Li 0.000 0.000 0.000
Li 0.003 0.488 0.996
Li 0.173 0.832 0.496
Li 0.485 0.487 0.995
Li 0.655 0.309 0.493
Li 0.662 0.834 0.495
Mn 0.491 0.486 0.725
Mn 0.657 0.313 0.224
Mn 0.996 0.487 0.726
Cr 0.161 0.322 0.451
Cr 0.492 0.984 0.951
Fe 0.164 0.822 0.228
Fe 0.659 0.822 0.227
Fe 0.994 0.990 0.729
O 0.151 0.808 0.847
O 0.170 0.340 0.840
O 0.313 0.626 0.601
O 0.319 0.184 0.595
O 0.349 0.697 0.090
O 0.353 0.149 0.093
O 0.497 0.481 0.347
O 0.501 0.001 0.344
O 0.658 0.809 0.846
O 0.667 0.333 0.840
O 0.797 0.150 0.093
O 0.820 0.639 0.617
O 0.821 0.642 0.116
O 0.867 0.185 0.594
O 0.985 0.482 0.347
O 0.992 0.984 0.351

Main lines, in order of rising 2θ (10° ≤ 2θ ≤ 90°):
Position (°2θ)	I/Imax
18.68	80.0
19.84	29.4
20.02	100.0
33.57	26.6
36.42	47.1
37.04	43.1
37.17	28.5
46.07	41.7
46.33	60.0
61.42	32.8

***

No. 2
Li4MnCr2Fe3P6O24: theoretical PXRD pattern (Cu Kα X-rays), based on a structure optimized by DFT (PBE+U).
Kinematic intensities with the Lorentz-polarization factor, no thermal factor.

Structural model:
a = 8.376 Å, b = 8.568 Å, c = 8.702 Å
α = 62.80°, β = 63.59°, γ = 63.90°
Element x y z (fractional)
Li 0.000 0.000 0.000
Li 0.101 0.515 0.891
Li 0.496 0.701 0.302
Li 0.899 0.109 0.486
Mn 0.902 0.516 0.302
Cr 0.252 0.861 0.636
Cr 0.745 0.364 0.142
Fe 0.098 0.702 0.486
Fe 0.398 0.005 0.786
Fe 0.601 0.217 0.993
P 0.000 0.297 0.701
P 0.193 0.106 0.180
P 0.317 0.607 0.084
P 0.499 0.404 0.600
P 0.682 0.919 0.394
P 0.804 0.820 0.893
O 0.000 0.796 0.742
O 0.059 0.456 0.671
O 0.151 0.101 0.730
O 0.158 0.542 0.113
O 0.183 0.957 0.370
O 0.215 0.038 0.033
O 0.290 0.662 0.241
O 0.325 0.770 0.902
O 0.347 0.598 0.579
O 0.357 0.178 0.120
O 0.422 0.249 0.646
O 0.491 0.941 0.548
O 0.510 0.451 0.062
O 0.570 0.361 0.754
O 0.643 0.883 0.818
O 0.649 0.423 0.410
O 0.679 0.105 0.230
O 0.703 0.766 0.334
O 0.781 0.964 0.967
O 0.813 0.624 0.039
O 0.844 0.884 0.456
O 0.849 0.269 0.894
O 0.939 0.319 0.548
O 0.998 0.258 0.206

Main lines, in order of rising 2θ (10° ≤ 2θ ≤ 90°):
Position (°2θ)	I/Imax
19.76	100.0
23.24	26.4
23.51	46.7
23.92	24.1
24.10	27.6
24.22	22.5
32.34	24.7
34.50	25.0
34.62	50.9
54.03	23.0

***

No. 3
Li10Cr3Fe3Ni2O16: theoretical PXRD pattern (Cu Kα X-rays), based on a structure optimized by DFT (PBE+U).
Kinematic intensities with the Lorentz-polarization factor, no thermal factor.

Structural model:
a = 5.978 Å, b = 5.978 Å, c = 9.838 Å
α = 90.23°, β = 90.23°, γ = 59.85°
Element x y z (fractional)
Li 0.000 0.000 0.000
Li 0.002 0.002 0.501
Li 0.199 0.199 0.427
Li 0.200 0.611 0.426
Li 0.334 0.334 0.201
Li 0.397 0.811 0.926
Li 0.611 0.200 0.426
Li 0.671 0.671 0.701
Li 0.807 0.807 0.927
Li 0.811 0.397 0.926
Cr 0.169 0.669 0.699
Cr 0.669 0.169 0.699
Cr 0.832 0.832 0.199
Fe 0.172 0.172 0.700
Fe 0.344 0.826 0.199
Fe 0.826 0.344 0.199
Ni 0.335 0.335 0.955
Ni 0.668 0.668 0.455
O 0.002 0.002 0.811
O 0.018 0.499 0.817
O 0.162 0.162 0.079
O 0.166 0.672 0.083
O 0.324 0.842 0.581
O 0.338 0.338 0.582
O 0.495 0.495 0.818
O 0.499 0.018 0.817
O 0.509 0.509 0.318
O 0.515 0.979 0.317
O 0.669 0.669 0.080
O 0.672 0.166 0.083
O 0.841 0.841 0.583
O 0.842 0.324 0.581
O 0.979 0.515 0.317
O 0.999 0.999 0.312

Main lines, in order of rising 2θ (10° ≤ 2θ ≤ 90°):
Position (°2θ)	I/Imax
18.03	45.7
19.38	100.0
35.07	20.1
35.19	39.4
35.87	35.6
39.38	29.3
44.62	49.2
44.69	32.2
59.08	21.5
62.10	32.3

***

No. 4
Li10Cr3Fe3Ni2O16: theoretical PXRD pattern (Cu Kα X-rays), based on a structure optimized by DFT (PBE+U).
Kinematic intensities with the Lorentz-polarization factor, no thermal factor.

Structural model:
a = 5.978 Å, b = 5.979 Å, c = 9.862 Å
α = 90.01°, β = 90.22°, γ = 119.74°
Element x y z (fractional)
Li 0.000 0.000 0.000
Li 0.004 0.590 0.001
Li 0.138 0.857 0.776
Li 0.195 0.398 0.501
Li 0.406 0.992 0.002
Li 0.463 0.533 0.276
Li 0.601 0.800 0.503
Li 0.606 0.393 0.501
Li 0.796 0.196 0.075
Li 0.801 0.192 0.576
Cr 0.461 0.030 0.275
Cr 0.635 0.360 0.775
Cr 0.635 0.856 0.775
Fe 0.141 0.360 0.775
Fe 0.966 0.029 0.276
Fe 0.966 0.535 0.275
Ni 0.133 0.864 0.531
Ni 0.469 0.527 0.030
O 0.120 0.359 0.156
O 0.133 0.865 0.157
O 0.290 0.180 0.394
O 0.291 0.707 0.394
O 0.312 0.685 0.893
O 0.313 0.209 0.894
O 0.471 0.527 0.659
O 0.480 0.031 0.659
O 0.634 0.357 0.159
O 0.634 0.874 0.158
O 0.785 0.683 0.894
O 0.795 0.197 0.387
O 0.801 0.190 0.886
O 0.815 0.706 0.394
O 0.962 0.028 0.659
O 0.963 0.515 0.658

Main lines, in order of rising 2θ (10° ≤ 2θ ≤ 90°):
Position (°2θ)	I/Imax
17.99	56.0
19.33	100.0
24.89	26.7
35.08	48.1
35.77	44.8
39.29	21.7
44.39	40.7
44.55	59.5
51.17	19.9
62.10	38.9